UFe2As: calculated X-ray powder pattern (Cu Kα (weighted mean of Kα1 and Kα2)), based on a crystal structure in Alexandria, relaxed with GGA-PBE.
Intensities are scaled so that the largest is 100.

Structure:
```
data_UFe2As
_space_group_name_H-M_alt 'R -3 m'
_space_group_IT_number 166
_space_group_name_Hall '-R 3 2"'
_cell_length_a 3.8824
_cell_length_b 3.8824
_cell_length_c 13.8413
_cell_angle_alpha 90.00
_cell_angle_beta 90.00
_cell_angle_gamma 120.00
loop_
_atom_site_label
_atom_site_type_symbol
_atom_site_fract_x
_atom_site_fract_y
_atom_site_fract_z
_atom_site_occupancy
U1 U 0.0000 0.0000 0.0000 1
Fe1 Fe 0.0000 0.0000 0.2198 1
As1 As 0.0000 0.0000 0.5000 1
```

The 8 most intense peaks (2θ = 10–90°), in order of rising 2θ:
hkl	2θ/deg	I (rel.)
1 0 1	27.3	43
0 1 2	29.5	45
1 0 4	37.3	100
0 1 5	42.3	28
1 1 0	46.8	61
0 2 4	61.3	23
1 1 6	62.5	20
2 1 4	80.5	22